1.
Diffraction record for MgSc4Ni5. The XRD peak list is computed, not measured: it uses a DFT-relaxed cell (GGA-PBE, Alexandria) and Cu Kα (weighted mean of Kα1 and Kα2).
Neutral-atom scattering factors, no anomalous dispersion.

Cell and atoms:
Cell lengths 3.132, 3.132, 15.908 Å; angles 90.00, 90.00, 90.00 degrees
Space group P4/mmm (No. 123)
Asymmetric unit:
1 Mg 0.000 0.000 0.000 [1 per cell]
2 Sc 0.000 0.000 0.194 [2 per cell]
3 Sc 0.000 0.000 0.398 [2 per cell]
4 Ni 0.500 0.500 0.099 [2 per cell]
5 Ni 0.500 0.500 0.297 [2 per cell]
6 Ni 0.500 0.500 0.500 [1 per cell]

Principal peaks in the range 10 to 80 degrees two-theta, low angle first:
d/Å, intensity, h k l
3.182, 4, 0 0 5
3.132, 7, 1 0 0
2.232, 100, 1 0 5
2.214, 49, 1 1 0
1.591, 8, 0 0 10
1.566, 15, 2 0 0
1.292, 15, 1 1 10
1.282, 29, 2 1 5

2.
Diffraction record for CaTaCd4. The XRD peak list is computed, not measured: it uses a DFT-relaxed cell (GGA-PBE, Alexandria) and Cu Kα (weighted mean of Kα1 and Kα2).
Neutral-atom scattering factors, no anomalous dispersion.

Cell and atoms:
Cell lengths 8.140, 8.140, 8.140 Å; angles 90.00, 90.00, 90.00 degrees
Space group F-43m (No. 216)
Asymmetric unit:
1 Ca 0.000 0.000 0.000 [4 per cell]
2 Ta 0.250 0.250 0.250 [4 per cell]
3 Cd 0.124 0.124 0.624 [16 per cell]

Principal peaks in the range 10 to 80 degrees two-theta, low angle first:
d/Å, intensity, h k l
4.700, 17, 1 1 1
2.878, 24, 2 2 0
2.454, 100, 3 1 1
2.350, 43, 2 2 2
1.567, 32, 3 3 3
1.439, 26, 4 4 0
1.241, 11, 5 3 3
1.227, 15, 6 2 2

3.
Diffraction record for Sm4IrS2Br. The XRD peak list is computed, not measured: it uses a DFT-relaxed cell (GGA-PBE, Alexandria) and Cu Kα (weighted mean of Kα1 and Kα2).
Neutral-atom scattering factors, no anomalous dispersion.

Cell and atoms:
Cell lengths 7.195, 3.993, 7.268 Å; angles 90.00, 108.24, 90.00 degrees
Space group P2/m (No. 10)
Asymmetric unit:
1 Sm 0.228 0.000 0.222 [2 per cell]
2 Sm 0.256 0.500 0.772 [2 per cell]
3 Ir 0.500 0.000 0.000 [1 per cell]
4 S 0.000 0.000 0.500 [1 per cell]
5 S 0.000 0.500 0.000 [1 per cell]
6 Br 0.500 0.500 0.500 [1 per cell]

Principal peaks in the range 10 to 80 degrees two-theta, low angle first:
d/Å, intensity, h k l
6.903, 18, 0 0 1
2.930, 52, 2 0 -2
2.906, 100, 1 1 1
2.119, 18, 2 0 2
2.071, 36, 1 1 -3
2.056, 38, 3 1 -1
1.996, 18, 0 2 0
1.650, 23, 2 2 -2

4.
Diffraction record for SmErAlPd. The XRD peak list is computed, not measured: it uses a DFT-relaxed cell (GGA-PBE, Alexandria) and Cu Kα (weighted mean of Kα1 and Kα2).
Neutral-atom scattering factors, no anomalous dispersion.

Cell and atoms:
Cell lengths 4.495, 3.806, 11.259 Å; angles 90.00, 90.00, 90.00 degrees
Space group Amm2 (No. 38)
Asymmetric unit:
1 Sm 0.000 0.000 0.000 [2 per cell]
2 Er 0.500 0.000 0.290 [2 per cell]
3 Al 0.000 0.000 0.721 [2 per cell]
4 Pd 0.500 0.000 0.583 [2 per cell]

Principal peaks in the range 10 to 80 degrees two-theta, low angle first:
d/Å, intensity, h k l
3.513, 34, 1 0 2
2.813, 100, 1 1 1
2.672, 44, 0 1 3
2.386, 22, 1 0 4
2.297, 32, 1 1 3
2.248, 23, 2 0 0
1.903, 14, 0 2 0
1.720, 24, 2 1 3